[1]
Calculated powder XRD pattern
Compound: InCuS2
Radiation: Cu Kα
Structure: a cell relaxed with PBE
Intensities are scaled so that the largest is 100.

Cell and atoms:
```
data_InCuS2
_space_group_name_H-M_alt 'P 3 m 1'
_space_group_IT_number 156
_cell_length_a 3.9242
_cell_length_b 3.9242
_cell_length_c 6.5103
_cell_angle_alpha 90.00
_cell_angle_beta 90.00
_cell_angle_gamma 120.00
loop_
_space_group_symop_operation_xyz
'x,y,z'
'-y,x-y,z'
'-x+y,-x,z'
'-y,-x,z'
'-x+y,y,z'
'x,x-y,z'
loop_
_atom_site_label
_atom_site_fract_x
_atom_site_fract_y
_atom_site_fract_z
In1 0.0000 0.0000 0.0000
Cu1 0.6667 0.3333 0.4524
S1 0.0000 0.0000 0.3721
S2 0.6667 0.3333 0.8157
```

Most intense lines, 10° ≤ 2θ ≤ 90°, by intensity:
two_theta	I_rel	index
29.65	100	1 0 1
26.22	71	1 0 0
46.27	51	1 1 0
49.86	50	1 0 3
38.29	39	0 1 2
27.40	38	0 0 2

***

[2]
Calculated powder XRD pattern
Compound: InCuS2
Radiation: Cu Kα
Structure: a cell relaxed with PBE
Intensities are scaled so that the largest is 100.

Cell and atoms:
```
data_InCuS2
_space_group_name_H-M_alt 'I -4 2 d'
_space_group_IT_number 122
_space_group_name_Hall 'I -4 2bw'
_cell_length_a 5.5629
_cell_length_b 5.5629
_cell_length_c 11.2397
_cell_angle_alpha 90.00
_cell_angle_beta 90.00
_cell_angle_gamma 90.00
loop_
_atom_site_label
_atom_site_fract_x
_atom_site_fract_y
_atom_site_fract_z
In1 0.0000 0.0000 0.0000
Cu1 0.0000 0.0000 0.5000
S1 0.2204 0.2500 0.6250
```

Most intense lines, 10° ≤ 2θ ≤ 90°, by intensity:
two_theta	I_rel	index
27.68	100	1 1 2
45.91	38	2 0 4
54.67	27	3 1 2
46.15	18	2 2 0
54.24	14	1 1 6
32.18	13	2 0 0

***

[3]
Calculated powder XRD pattern
Compound: InCuSeS
Radiation: Cu Kα
Structure: a cell relaxed with PBE
Intensities are scaled so that the largest is 100.

Cell and atoms:
```
data_InCuSeS
_space_group_name_H-M_alt 'I 21 21 21'
_space_group_IT_number 24
_cell_length_a 5.7008
_cell_length_b 5.7263
_cell_length_c 11.4710
_cell_angle_alpha 90.00
_cell_angle_beta 90.00
_cell_angle_gamma 90.00
loop_
_space_group_symop_operation_xyz
'x,y,z'
'-x,-y+1/2,z'
'x,-y,-z+1/2'
'-x,y+1/2,-z+1/2'
'x+1/2,y+1/2,z+1/2'
'-x+1/2,-y,z+1/2'
'x+1/2,-y+1/2,-z'
'-x+1/2,y,-z'
loop_
_atom_site_label
_atom_site_fract_x
_atom_site_fract_y
_atom_site_fract_z
In1 0.0000 0.2500 0.1302
Cu1 0.0000 0.2500 0.6355
Se1 0.2500 0.4662 0.5000
S1 0.2209 0.0000 0.7500
```

Most intense lines, 10° ≤ 2θ ≤ 90°, by intensity:
two_theta	I_rel	index
27.00	100	1 1 2
44.85	44	2 0 4
53.02	27	1 1 6
44.73	22	0 2 4
53.24	14	3 1 2
82.54	12	2 2 8

***

[4]
Calculated powder XRD pattern
Compound: Sm2InCuS5
Radiation: Cu Kα
Structure: a cell relaxed with PBE
Intensities are scaled so that the largest is 100.

Cell and atoms:
```
data_Sm2InCuS5
_space_group_name_H-M_alt 'P n m a'
_space_group_IT_number 62
_cell_length_a 11.5085
_cell_length_b 3.8688
_cell_length_c 16.6201
_cell_angle_alpha 90.00
_cell_angle_beta 90.00
_cell_angle_gamma 90.00
loop_
_space_group_symop_operation_xyz
'x,y,z'
'-x,-y,-z'
'-x+1/2,-y,z+1/2'
'x+1/2,y,-z+1/2'
'x+1/2,-y+1/2,-z+1/2'
'-x+1/2,y+1/2,z+1/2'
'-x,y+1/2,-z'
'x,-y+1/2,z'
loop_
_atom_site_label
_atom_site_fract_x
_atom_site_fract_y
_atom_site_fract_z
Sm1 0.0259 0.2500 0.1799
Sm2 0.1344 0.7500 0.5959
In1 0.1946 0.7500 0.3615
Cu1 0.0821 0.7500 0.9959
S1 0.0139 0.2500 0.6950
S2 0.0960 0.2500 0.9196
S3 0.1089 0.2500 0.4646
S4 0.1843 0.7500 0.1125
S5 0.2413 0.7500 0.7683
```

Most intense lines, 10° ≤ 2θ ≤ 90°, by intensity:
two_theta	I_rel	index
32.57	100	1 1 4
28.30	55	3 0 3
39.01	50	4 1 0
23.80	47	3 0 1
46.97	41	0 2 0
29.20	40	1 1 3